The following is a simulated powder X-ray diffraction pattern of Rb3Tb3CoO8. It was derived from a cell relaxed with PBE+U, using Cu Kα (weighted mean of Kα1 and Kα2).
No peak broadening, texture or thermal motion is included.

Atomic structure:
```
Rb3Tb3CoO8
1.0
3.402 1.964 6.594
-3.402 1.964 6.594
0.000 -3.929 6.594
Rb Tb Co O
3 3 1 8
Direct
0.000 0.500 0.500 Rb
0.500 0.000 0.500 Rb
0.500 0.500 0.000 Rb
0.000 0.000 0.500 Tb
0.000 0.500 0.000 Tb
0.500 0.000 0.000 Tb
0.500 0.500 0.500 Co
0.225 0.225 0.225 O
0.252 0.706 0.706 O
0.294 0.294 0.748 O
0.294 0.748 0.294 O
0.706 0.252 0.706 O
0.706 0.706 0.252 O
0.748 0.294 0.294 O
0.775 0.775 0.775 O
```

The 10 most intense peaks (2θ = 15–90°), in order of rising 2θ:
| Position (°2θ) | d (Å) | intensity |
| --- | --- | --- |
| 17.52 | 5.063 | 22 |
| 27.04 | 3.297 | 45 |
| 31.69 | 2.824 | 76 |
| 35.46 | 2.531 | 100 |
| 48.03 | 1.894 | 35 |
| 53.90 | 1.701 | 30 |
| 55.79 | 1.648 | 13 |
| 55.99 | 1.642 | 22 |
| 61.32 | 1.512 | 28 |
| 66.19 | 1.412 | 15 |